Simulated X-ray powder pattern
Compound: CuAg
Radiation: copper Kα
Structure: a cell relaxed with GGA-PBE
No peak broadening, texture or thermal motion is included.

Main lines, in order of rising 2θ (2θ from 5° to 70°):
(hkl), Position (°2θ), I_rel
1 1 0, 24.13, 3
1 1 -1, 28.48, 5
1 1 -2, 40.04, 100
5 1 0, 40.15, 99
6 0 -2, 46.14, 33
4 0 2, 46.21, 32
0 2 0, 47.53, 30
2 0 -4, 67.20, 10
10 0 0, 67.52, 9
6 2 -2, 68.43, 37

Structural model:
a b c (Å): 14.153 3.826 5.572
angles (deg): 90.00 101.44 90.00
Space group Cm (No. 8)
Asymmetric unit:
Cu (0.000, 0.000, 0.000) [2 per cell]
Cu (0.007, 0.000, 0.529) [2 per cell]
Cu (0.213, 0.000, 0.632) [2 per cell]
Cu (0.311, 0.500, 0.912) [2 per cell]
Cu (0.408, 0.000, 0.729) [2 per cell]
Ag (0.103, 0.500, 0.813) [2 per cell]
Ag (0.107, 0.500, 0.325) [2 per cell]
Ag (0.210, 0.000, 0.113) [2 per cell]
Ag (0.312, 0.500, 0.440) [2 per cell]
Ag (0.411, 0.000, 0.215) [2 per cell]

Simulated X-ray powder pattern
Compound: Tb2Pa
Radiation: copper Kα
Structure: a cell relaxed with GGA-PBE
No peak broadening, texture or thermal motion is included.

Main lines, in order of rising 2θ (2θ from 5° to 70°):
(hkl), Position (°2θ), I_rel
1 1 1, 12.07, 100
2 2 0, 19.77, 25
2 2 2, 24.28, 20
3 3 1, 30.68, 34
4 2 2, 34.60, 13
4 4 0, 40.16, 24
5 3 1, 42.09, 29
6 2 2, 47.49, 10
7 1 1, 51.38, 17
9 1 1, 67.14, 11

Structural model:
a b c (Å): 12.701 12.701 12.701
angles (deg): 90.00 90.00 90.00
Space group Fd-3m (No. 227, origin choice 2)
Asymmetric unit:
Tb (0.000, 0.000, 0.000) [16 per cell]
Pa (0.125, 0.125, 0.125) [8 per cell]

Simulated X-ray powder pattern
Compound: La2Os
Radiation: copper Kα
Structure: a cell relaxed with GGA-PBE
No peak broadening, texture or thermal motion is included.

Main lines, in order of rising 2θ (2θ from 5° to 70°):
(hkl), Position (°2θ), I_rel
1 1 1, 21.87, 39
2 0 0, 25.31, 5
2 2 0, 36.10, 100
3 1 1, 42.61, 21
2 2 2, 44.60, 1
4 0 0, 51.97, 18
3 3 1, 57.04, 9
4 2 0, 58.67, 2
4 2 2, 64.91, 36
5 1 1, 69.39, 7

Structural model:
a b c (Å): 7.038 7.038 7.038
angles (deg): 90.00 90.00 90.00
Space group Fm-3m (No. 225)
Asymmetric unit:
La (0.250, 0.250, 0.250) [8 per cell]
Os (0.000, 0.000, 0.000) [4 per cell]

Simulated X-ray powder pattern
Compound: DyHo2Ni2
Radiation: copper Kα
Structure: a cell relaxed with GGA-PBE
No peak broadening, texture or thermal motion is included.

Main lines, in order of rising 2θ (2θ from 5° to 70°):
(hkl), Position (°2θ), I_rel
1 1 -1, 26.63, 23
4 0 0, 27.96, 40
0 0 3, 29.38, 45
3 1 0, 32.39, 41
1 1 2, 33.41, 91
4 0 -3, 34.93, 100
3 1 1, 35.52, 37
5 1 -1, 42.22, 36
0 2 0, 50.17, 29
1 1 5, 58.78, 24

Structural model:
a b c (Å): 13.240 3.637 9.460
angles (deg): 90.00 105.42 90.00
Space group C2/m (No. 12)
Asymmetric unit:
Dy (0.144, 0.000, 0.368) [4 per cell]
Ho (0.097, 0.500, 0.673) [4 per cell]
Ho (0.132, 0.000, 0.998) [4 per cell]
Ni (0.035, 0.500, 0.144) [4 per cell]
Ni (0.244, 0.500, 0.227) [4 per cell]

Simulated X-ray powder pattern
Compound: PmNi5P2
Radiation: copper Kα
Structure: a cell relaxed with GGA-PBE
No peak broadening, texture or thermal motion is included.

Main lines, in order of rising 2θ (2θ from 5° to 70°):
(hkl), Position (°2θ), I_rel
1 1 0, 27.69, 20
0 1 3, 33.34, 25
0 2 2, 34.39, 47
1 2 1, 38.31, 100
1 0 3, 38.93, 99
0 3 1, 43.28, 16
2 0 0, 48.99, 44
0 2 4, 49.92, 38
1 3 2, 53.38, 20
1 2 5, 65.05, 13

Structural model:
a b c (Å): 3.717 6.453 8.867
angles (deg): 90.00 90.00 90.00
Space group Immm (No. 71)
Asymmetric unit:
Pm (0.000, 0.000, 0.000) [2 per cell]
Ni (0.000, 0.188, 0.345) [8 per cell]
Ni (0.000, 0.500, 0.000) [2 per cell]
P (0.000, 0.500, 0.244) [4 per cell]

Simulated X-ray powder pattern
Compound: HfInCuNi
Radiation: copper Kα
Structure: a cell relaxed with GGA-PBE
No peak broadening, texture or thermal motion is included.

Main lines, in order of rising 2θ (2θ from 5° to 70°):
(hkl), Position (°2θ), I_rel
0 1 1, 26.18, 16
1 0 2, 32.68, 39
1 1 0, 41.56, 100
0 0 4, 45.34, 3
2 0 1, 49.81, 3
0 1 4, 51.77, 2
0 2 2, 53.87, 9
2 0 3, 60.22, 14
1 1 4, 63.19, 10
1 2 1, 66.85, 3

Structural model:
a b c (Å): 4.3427 4.3427 8.0009
angles (deg): 90.00 90.00 120.00
Space group P-3m1 (No. 164)
Asymmetric unit:
Hf (0.3333, 0.6667, 0.2602) [2 per cell]
In (0.0000, 0.0000, 0.0000) [1 per cell]
In (0.0000, 0.0000, 0.5000) [1 per cell]
Cu (0.3333, 0.6667, 0.9034) [2 per cell]
Ni (0.3333, 0.6667, 0.5915) [2 per cell]